For KErAsO, DFT lattice parameters and positions (GGA-PBE) gives the calculated powder diffraction line list in this record (Cu Kα (λ = 1.5418 Å)).
Peak positions follow from Bragg's law for the DFT cell and can differ from measured ones.

Principal peaks in the range 10° ≤ 2θ ≤ 80°, by angle:
2θ = 11.24°, d = 7.871 Å, I 78
2θ = 16.23°, d = 5.463 Å, I 66
2θ = 23.45°, d = 3.794 Å, I 49
2θ = 25.50°, d = 3.494 Å, I 71
2θ = 26.05°, d = 3.421 Å, I 100
2θ = 28.42°, d = 3.140 Å, I 69

Structure:
a b c (Å): 3.424 7.871 7.588
angles (deg): 90.00 90.00 90.00
Fractional coordinates of all 8 atoms:
K: 0.000 0.041 0.000
K: 0.000 0.959 0.500
Er: 0.500 0.370 0.348
Er: 0.500 0.630 0.848
As: 0.500 0.293 0.716
As: 0.500 0.707 0.216
O: 0.000 0.240 0.274
O: 0.000 0.760 0.774


For LaErAs2Pt2, DFT lattice parameters and positions (GGA-PBE) gives the calculated powder diffraction line list in this record (Cu Kα (λ = 1.5418 Å)).
Peak positions follow from Bragg's law for the DFT cell and can differ from measured ones.

Principal peaks in the range 10° ≤ 2θ ≤ 80°, by angle:
2θ = 24.39°, d = 3.649 Å, I 21
2θ = 33.13°, d = 2.704 Å, I 100
2θ = 41.68°, d = 2.167 Å, I 63
2θ = 54.25°, d = 1.691 Å, I 25
2θ = 64.28°, d = 1.449 Å, I 21
2θ = 70.66°, d = 1.333 Å, I 22

Structure:
a b c (Å): 4.334 4.334 15.592
angles (deg): 90.00 90.00 120.00
Fractional coordinates of all 12 atoms:
La: 0.000 0.000 0.000
La: 0.000 0.000 0.500
Er: 0.000 0.000 0.250
Er: 0.000 0.000 0.750
As: 0.333 0.667 0.122
As: 0.333 0.667 0.378
As: 0.667 0.333 0.622
As: 0.667 0.333 0.878
Pt: 0.333 0.667 0.646
Pt: 0.333 0.667 0.854
Pt: 0.667 0.333 0.146
Pt: 0.667 0.333 0.354


For ErAsN2O, DFT lattice parameters and positions (GGA-PBE) gives the calculated powder diffraction line list in this record (Cu Kα (λ = 1.5418 Å)).
Peak positions follow from Bragg's law for the DFT cell and can differ from measured ones.

Principal peaks in the range 10° ≤ 2θ ≤ 80°, by angle:
2θ = 29.82°, d = 2.996 Å, I 66
2θ = 30.84°, d = 2.899 Å, I 46
2θ = 32.53°, d = 2.753 Å, I 53
2θ = 33.25°, d = 2.694 Å, I 100
2θ = 34.90°, d = 2.571 Å, I 49
2θ = 45.22°, d = 2.005 Å, I 45

Structure:
a b c (Å): 5.167 5.399 5.595
angles (deg): 94.47 112.02 118.48
Fractional coordinates of all 10 atoms:
Er: 0.000 0.000 0.000
Er: 0.448 0.725 0.218
As: 0.067 0.586 0.585
As: 0.419 0.212 0.648
N: 0.190 0.388 0.408
N: 0.483 0.927 0.830
N: 0.887 0.531 0.827
N: 0.969 0.833 0.414
O: 0.342 0.359 0.909
O: 0.505 0.144 0.356


For ErAsN2O, DFT lattice parameters and positions (GGA-PBE) gives the calculated powder diffraction line list in this record (Cu Kα (λ = 1.5418 Å)).
Peak positions follow from Bragg's law for the DFT cell and can differ from measured ones.

Principal peaks in the range 10° ≤ 2θ ≤ 80°, by angle:
2θ = 22.25°, d = 3.995 Å, I 17
2θ = 29.25°, d = 3.053 Å, I 18
2θ = 31.25°, d = 2.862 Å, I 18
2θ = 32.09°, d = 2.789 Å, I 27
2θ = 33.46°, d = 2.678 Å, I 100
2θ = 35.24°, d = 2.547 Å, I 34

Structure:
a b c (Å): 7.217 5.725 5.578
angles (deg): 90.00 90.00 90.00
Fractional coordinates of all 20 atoms:
Er: 0.000 0.181 0.000
Er: 0.000 0.819 0.500
Er: 0.500 0.194 0.898
Er: 0.500 0.806 0.398
As: 0.247 0.335 0.441
As: 0.247 0.665 0.941
As: 0.753 0.335 0.441
As: 0.753 0.665 0.941
N: 0.000 0.195 0.415
N: 0.000 0.805 0.915
N: 0.207 0.394 0.779
N: 0.207 0.606 0.279
N: 0.500 0.366 0.533
N: 0.500 0.634 0.033
N: 0.793 0.394 0.779
N: 0.793 0.606 0.279
O: 0.299 0.103 0.205
O: 0.299 0.897 0.705
O: 0.701 0.103 0.205
O: 0.701 0.897 0.705


For ErAsN2O, DFT lattice parameters and positions (GGA-PBE) gives the calculated powder diffraction line list in this record (Cu Kα (λ = 1.5418 Å)).
Peak positions follow from Bragg's law for the DFT cell and can differ from measured ones.

Principal peaks in the range 10° ≤ 2θ ≤ 80°, by angle:
2θ = 26.41°, d = 3.375 Å, I 16
2θ = 33.20°, d = 2.698 Å, I 100
2θ = 33.43°, d = 2.681 Å, I 19
2θ = 34.27°, d = 2.617 Å, I 25
2θ = 48.62°, d = 1.873 Å, I 16
2θ = 60.69°, d = 1.526 Å, I 20

Structure:
a b c (Å): 5.361 7.782 5.233
angles (deg): 90.00 90.00 90.00
Fractional coordinates of all 20 atoms:
Er: 0.064 0.250 0.019
Er: 0.436 0.750 0.519
Er: 0.564 0.250 0.481
Er: 0.936 0.750 0.981
As: 0.000 0.000 0.500
As: 0.000 0.500 0.500
As: 0.500 0.000 0.000
As: 0.500 0.500 0.000
N: 0.201 0.549 0.801
N: 0.201 0.951 0.801
N: 0.299 0.049 0.301
N: 0.299 0.451 0.301
N: 0.701 0.549 0.699
N: 0.701 0.951 0.699
N: 0.799 0.049 0.199
N: 0.799 0.451 0.199
O: 0.022 0.750 0.400
O: 0.478 0.250 0.900
O: 0.522 0.750 0.100
O: 0.978 0.250 0.600


For ErAsN2O, DFT lattice parameters and positions (GGA-PBE) gives the calculated powder diffraction line list in this record (Cu Kα (λ = 1.5418 Å)).
Peak positions follow from Bragg's law for the DFT cell and can differ from measured ones.

Principal peaks in the range 10° ≤ 2θ ≤ 80°, by angle:
2θ = 25.84°, d = 3.447 Å, I 15
2θ = 32.09°, d = 2.790 Å, I 20
2θ = 32.67°, d = 2.741 Å, I 28
2θ = 33.57°, d = 2.669 Å, I 100
2θ = 46.45°, d = 1.955 Å, I 18
2θ = 58.89°, d = 1.568 Å, I 20

Structure:
a b c (Å): 7.821 7.306 10.963
angles (deg): 90.00 134.49 90.00
Fractional coordinates of all 40 atoms:
Er: 0.057 0.250 0.033
Er: 0.057 0.250 0.533
Er: 0.440 0.728 0.477
Er: 0.440 0.772 0.977
Er: 0.560 0.228 0.023
Er: 0.560 0.272 0.523
Er: 0.943 0.750 0.467
Er: 0.943 0.750 0.967
As: 0.038 0.002 0.282
As: 0.038 0.498 0.782
As: 0.481 0.504 0.765
As: 0.481 0.996 0.265
As: 0.519 0.004 0.735
As: 0.519 0.496 0.235
As: 0.962 0.502 0.218
As: 0.962 0.998 0.718
N: 0.045 0.745 0.723
N: 0.045 0.755 0.223
N: 0.208 0.551 0.009
N: 0.208 0.949 0.509
N: 0.291 0.065 0.302
N: 0.291 0.435 0.802
N: 0.457 0.242 0.177
N: 0.457 0.258 0.677
N: 0.543 0.742 0.323
N: 0.543 0.758 0.823
N: 0.709 0.565 0.198
N: 0.709 0.935 0.698
N: 0.792 0.051 0.491
N: 0.792 0.449 0.991
N: 0.955 0.245 0.777
N: 0.955 0.255 0.277
O: 0.222 0.552 0.527
O: 0.222 0.948 0.027
O: 0.275 0.042 0.802
O: 0.275 0.458 0.302
O: 0.725 0.542 0.698
O: 0.725 0.958 0.198
O: 0.778 0.052 0.973
O: 0.778 0.448 0.473


For Na2ErAs2, DFT lattice parameters and positions (GGA-PBE) gives the calculated powder diffraction line list in this record (Cu Kα (λ = 1.5418 Å)).
Peak positions follow from Bragg's law for the DFT cell and can differ from measured ones.

Principal peaks in the range 10° ≤ 2θ ≤ 80°, by angle:
2θ = 18.09°, d = 4.903 Å, I 41
2θ = 19.13°, d = 4.640 Å, I 100
2θ = 32.23°, d = 2.777 Å, I 55
2θ = 36.66°, d = 2.452 Å, I 33
2θ = 39.72°, d = 2.269 Å, I 28
2θ = 43.82°, d = 2.066 Å, I 21

Structure:
a b c (Å): 8.299 6.799 10.061
angles (deg): 54.94 42.12 82.94
Fractional coordinates of all 10 atoms:
Na: 0.238 0.762 0.342
Na: 0.592 0.908 0.488
Na: 0.762 0.238 0.658
Na: 0.908 0.592 0.012
Er: 0.257 0.257 0.743
Er: 0.507 0.507 0.993
As: 0.198 0.265 0.051
As: 0.199 0.764 0.052
As: 0.265 0.198 0.486
As: 0.764 0.199 0.985


For NdErAs2Pt2, DFT lattice parameters and positions (GGA-PBE) gives the calculated powder diffraction line list in this record (Cu Kα (λ = 1.5418 Å)).
Peak positions follow from Bragg's law for the DFT cell and can differ from measured ones.

Principal peaks in the range 10° ≤ 2θ ≤ 80°, by angle:
2θ = 24.50°, d = 3.634 Å, I 19
2θ = 33.32°, d = 2.689 Å, I 100
2θ = 41.86°, d = 2.158 Å, I 62
2θ = 54.52°, d = 1.683 Å, I 25
2θ = 64.69°, d = 1.441 Å, I 23
2θ = 71.02°, d = 1.327 Å, I 23

Structure:
a b c (Å): 4.317 4.317 15.482
angles (deg): 90.00 90.00 120.00
Fractional coordinates of all 12 atoms:
Nd: 0.000 0.000 0.000
Nd: 0.000 0.000 0.500
Er: 0.000 0.000 0.250
Er: 0.000 0.000 0.750
As: 0.333 0.667 0.120
As: 0.333 0.667 0.380
As: 0.667 0.333 0.620
As: 0.667 0.333 0.880
Pt: 0.333 0.667 0.643
Pt: 0.333 0.667 0.857
Pt: 0.667 0.333 0.143
Pt: 0.667 0.333 0.357